Theoretical powder X-ray diffraction pattern of ErPu2Au4 for Cu Ka, from a structure optimized by DFT (PBE).
Neutral-atom scattering factors, no anomalous dispersion.

Atomic structure:
abc: 4.990 4.990 13.944
angles: 90.00 90.00 90.00
Space group I4/mmm (No. 139)
Asymmetric unit:
Er  0.000  0.000  0.000
Pu  0.000  0.000  0.263
Au  0.000  0.500  0.112

Top 6 peaks for 10° ≤ 2θ ≤ 90°, sorted by position:
(hkl)	2θ (°)	d [Å]	intensity
1 1 2	28.3	3.148	18
2 0 0	36.0	2.495	56
1 1 4	36.2	2.480	100
2 2 0	51.8	1.764	20
3 1 4	64.9	1.438	38
2 0 8	65.3	1.429	14

=====

Theoretical powder X-ray diffraction pattern of ErPu3Au4 for Cu Ka, from a structure optimized by DFT (PBE).
Neutral-atom scattering factors, no anomalous dispersion.

Atomic structure:
abc: 3.554 3.554 15.005
angles: 90.00 90.00 90.00
Space group P4/mmm (No. 123)
Asymmetric unit:
Er  0.000  0.000  0.000
Pu  0.000  0.000  0.246
Pu  0.000  0.000  0.500
Au  0.500  0.500  0.112
Au  0.500  0.500  0.373

Top 6 peaks for 10° ≤ 2θ ≤ 90°, sorted by position:
(hkl)	2θ (°)	d [Å]	intensity
1 0 4	34.8	2.580	100
1 1 0	35.7	2.513	48
2 0 0	51.4	1.777	17
1 1 8	61.7	1.503	18
2 1 4	63.6	1.463	36
2 0 8	73.4	1.290	11

=====

Theoretical powder X-ray diffraction pattern of RbErAuSe2 for Cu Ka, from a structure optimized by DFT (PBE).
Neutral-atom scattering factors, no anomalous dispersion.

Atomic structure:
abc: 7.997 4.943 7.930
angles: 90.00 97.22 90.00
Space group P2/c (No. 13)
Asymmetric unit:
Rb  0.000  0.112  0.250
Er  0.500  0.495  0.750
Au  0.500  0.000  0.000
Se  0.261  0.375  0.971

Top 6 peaks for 10° ≤ 2θ ≤ 90°, sorted by position:
(hkl)	2θ (°)	d [Å]	intensity
1 0 0	11.2	7.934	100
2 0 0	22.4	3.967	22
1 1 -2	30.1	2.970	37
1 1 2	32.2	2.779	45
2 1 -2	35.1	2.557	27
3 1 -2	42.8	2.111	23

=====

Theoretical powder X-ray diffraction pattern of Er3Rh2Au3 for Cu Ka, from a structure optimized by DFT (PBE).
Neutral-atom scattering factors, no anomalous dispersion.

Atomic structure:
abc: 7.2443 7.2443 3.6148
angles: 90.00 90.00 120.00
Space group P-62m (No. 189)
Asymmetric unit:
Er  0.0000  0.5942  0.0000
Rh  0.3333  0.6667  0.5000
Au  0.0000  0.2308  0.5000

Top 6 peaks for 10° ≤ 2θ ≤ 90°, sorted by position:
(hkl)	2θ (°)	d [Å]	intensity
1 1 1	35.1	2.559	74
2 1 0	38.0	2.370	100
2 1 1	45.8	1.983	18
3 1 1	58.9	1.568	20
2 1 2	64.8	1.438	35
4 1 1	74.1	1.280	14

=====

Theoretical powder X-ray diffraction pattern of Er8Rh3Au2 for Cu Ka, from a structure optimized by DFT (PBE).
Neutral-atom scattering factors, no anomalous dispersion.

Atomic structure:
abc: 8.411 4.853 8.425
angles: 90.00 109.18 90.00
Space group P2/m (No. 10)
Asymmetric unit:
Er  0.119  0.000  0.380
Er  0.132  0.500  0.872
Er  0.372  0.500  0.632
Er  0.379  0.000  0.121
Rh  0.251  0.000  0.750
Rh  0.500  0.500  0.000
Au  0.247  0.500  0.253

Top 6 peaks for 10° ≤ 2θ ≤ 90°, sorted by position:
(hkl)	2θ (°)	d [Å]	intensity
2 0 0	22.4	3.969	18
2 0 2	36.9	2.439	20
0 2 0	37.0	2.429	100
2 2 2	53.3	1.720	14
5 1 1	66.5	1.406	14
3 3 -1	66.8	1.401	25

=====

Theoretical powder X-ray diffraction pattern of Er6RuAu for Cu Ka, from a structure optimized by DFT (PBE).
Neutral-atom scattering factors, no anomalous dispersion.

Atomic structure:
abc: 6.760 10.969 6.768
angles: 90.00 109.46 90.00
Space group C2/m (No. 12)
Asymmetric unit:
Er  0.233  0.179  0.237
Er  0.249  0.000  0.767
Ru  0.000  0.000  0.000
Au  0.000  0.500  0.500

Top 6 peaks for 10° ≤ 2θ ≤ 90°, sorted by position:
(hkl)	2θ (°)	d [Å]	intensity
2 0 0	28.0	3.189	48
1 3 -1	29.3	3.049	40
2 0 -2	32.4	2.760	76
1 3 1	33.6	2.669	100
3 3 -1	47.4	1.919	76
5 3 -3	77.9	1.226	25

=====

Theoretical powder X-ray diffraction pattern of Er7Ru2Au2 for Cu Ka, from a structure optimized by DFT (PBE).
Neutral-atom scattering factors, no anomalous dispersion.

Atomic structure:
abc: 3.906 14.974 9.290
angles: 90.00 90.00 90.00
Space group Imm2 (No. 44)
Asymmetric unit:
Er  0.000  0.000  0.000
Er  0.000  0.123  0.421
Er  0.000  0.317  0.624
Er  0.000  0.356  0.258
Ru  0.000  0.238  0.924
Au  0.000  0.000  0.676
Au  0.000  0.500  0.754

Top 6 peaks for 10° ≤ 2θ ≤ 90°, sorted by position:
(hkl)	2θ (°)	d [Å]	intensity
1 1 2	30.5	2.932	45
0 3 3	34.1	2.631	54
1 4 1	34.6	2.595	100
1 3 2	35.0	2.565	43
1 2 3	39.0	2.308	30
2 0 0	46.5	1.953	30

=====

Theoretical powder X-ray diffraction pattern of ErAuSe2 for Cu Ka, from a structure optimized by DFT (PBE).
Neutral-atom scattering factors, no anomalous dispersion.

Atomic structure:
abc: 4.2489 4.2489 23.3493
angles: 90.00 90.00 120.00
Space group P3_221 (No. 154)
Asymmetric unit:
Er  0.0000  0.3290  0.3333
Au  0.0000  0.3354  0.8333
Se  0.0042  0.3375  0.9374

Top 6 peaks for 10° ≤ 2θ ≤ 90°, sorted by position:
(hkl)	2θ (°)	d [Å]	intensity
0 1 1	24.5	3.635	17
1 0 2	25.4	3.509	100
0 1 4	28.7	3.113	23
1 0 8	39.4	2.287	38
1 1 0	42.6	2.124	43
0 1 10	46.0	1.972	33

=====

Theoretical powder X-ray diffraction pattern of Er8Te4AuSe3 for Cu Ka, from a structure optimized by DFT (PBE).
Neutral-atom scattering factors, no anomalous dispersion.

Atomic structure:
abc: 8.3796 8.3796 20.9034
angles: 90.00 90.00 120.00
Space group R-3m (No. 166, hexagonal axes)
Asymmetric unit:
Er  0.0000  0.0000  0.2392
Er  0.0076  0.5038  0.2401
Te  0.0000  0.0000  0.0000
Te  0.0000  0.5000  0.0000
Au  0.0000  0.0000  0.5000
Se  0.0000  0.5000  0.5000

Top 6 peaks for 10° ≤ 2θ ≤ 90°, sorted by position:
(hkl)	2θ (°)	d [Å]	intensity
0 2 4	30.0	2.980	100
2 0 8	42.6	2.120	34
2 2 0	43.2	2.095	38
4 0 4	53.5	1.714	20
2 2 12	70.3	1.339	13
2 4 4	71.1	1.327	17

=====

Theoretical powder X-ray diffraction pattern of Sm2Er3Au2 for Cu Ka, from a structure optimized by DFT (PBE).
Neutral-atom scattering factors, no anomalous dispersion.

Atomic structure:
abc: 12.811 3.713 9.166
angles: 90.00 116.74 90.00
Space group C2/m (No. 12)
Asymmetric unit:
Sm  0.151  0.000  0.314
Er  0.000  0.500  0.500
Er  0.114  0.500  0.946
Au  0.167  0.000  0.734

Top 6 peaks for 10° ≤ 2θ ≤ 90°, sorted by position:
(hkl)	2θ (°)	d [Å]	intensity
1 1 -2	31.1	2.879	57
3 1 -1	31.9	2.802	56
4 0 -3	33.7	2.661	100
3 1 -2	33.9	2.641	50
1 1 2	35.8	2.507	47
1 1 -3	38.8	2.321	43

=====

Theoretical powder X-ray diffraction pattern of ErSn3Au6 for Cu Ka, from a structure optimized by DFT (PBE).
Neutral-atom scattering factors, no anomalous dispersion.

Atomic structure:
abc: 12.6290 12.6290 5.0814
angles: 90.00 90.00 120.00
Space group R3m (No. 160, hexagonal axes)
Asymmetric unit:
Er  0.0000  0.0000  0.0000
Sn  0.0661  0.5331  0.8635
Au  0.1526  0.0763  0.5174
Au  0.1937  0.3875  0.6815

Top 6 peaks for 10° ≤ 2θ ≤ 90°, sorted by position:
(hkl)	2θ (°)	d [Å]	intensity
3 0 0	24.4	3.646	56
2 2 0	28.3	3.157	40
1 3 1	34.4	2.605	58
0 1 2	36.3	2.475	43
2 0 2	39.1	2.304	41
3 2 1	40.1	2.250	100

=====

Theoretical powder X-ray diffraction pattern of Er3SnAu for Cu Ka, from a structure optimized by DFT (PBE).
Neutral-atom scattering factors, no anomalous dispersion.

Atomic structure:
abc: 6.382 5.266 8.594
angles: 90.00 90.00 90.00
Space group Pmma (No. 51)
Asymmetric unit:
Er  0.000  0.000  0.000
Er  0.250  0.000  0.361
Er  0.250  0.500  0.764
Sn  0.250  0.500  0.144
Au  0.250  0.000  0.692

Top 6 peaks for 10° ≤ 2θ ≤ 90°, sorted by position:
(hkl)	2θ (°)	d [Å]	intensity
2 0 0	28.0	3.191	54
0 2 0	34.1	2.633	91
2 1 1	34.5	2.601	99
2 0 2	35.0	2.562	73
0 1 3	35.7	2.517	100
2 2 2	49.7	1.836	55